Sr2La2CrNiO8: theoretical powder X-ray diffraction pattern (copper Kα), based on a GGA+U-relaxed structure.
Kinematic intensities with the Lorentz-polarization factor, no thermal factor.

Principal peaks in the range 2θ = 15–90°, sorted by position:
2θ (°)	I (rel.)
23.9	171
31.4	1000
32.4	379
32.6	371
42.9	180
43.6	155
43.8	153
46.6	395
57.1	186
57.4	183

Structure:
Lattice parameters (Å, degrees): 5.5345 6.8419 6.8419 47.34 90.00 90.00
Sites, in units of the cell vectors:
Sr: 0.0000 0.0000 0.0000
Sr: 0.5000 0.2131 0.2131
La: 0.0000 0.7200 0.7200
La: 0.5000 0.4949 0.4949
Cr: 0.0000 0.3525 0.3525
Ni: 0.5000 0.8578 0.8578
O: 0.0000 0.1985 0.1985
O: 0.0000 0.5265 0.5265
O: 0.2422 0.1120 0.6001
O: 0.2422 0.6001 0.1120
O: 0.5000 0.0231 0.0231
O: 0.5000 0.6795 0.6795
O: 0.7578 0.1120 0.6001
O: 0.7578 0.6001 0.1120